NpCr2Ge2: computed X-ray diffraction stick pattern (λ = 1.5418 Å (Cu Kα)), based on a GGA-PBE-relaxed structure.

Largest 10 diffraction maxima, by angle, 10° ≤ 2θ ≤ 90°:
- 2θ 15.98, 5.547 Å, I 26
- 2θ 24.27, 3.668 Å, I 30
- 2θ 32.59, 2.748 Å, I 40
- 2θ 33.45, 2.679 Å, I 100
- 2θ 36.49, 2.462 Å, I 100
- 2θ 46.75, 1.943 Å, I 46
- 2θ 47.17, 1.927 Å, I 51
- 2θ 58.70, 1.573 Å, I 41
- 2θ 68.59, 1.368 Å, I 34
- 2θ 79.96, 1.200 Å, I 20

```
NpCr2Ge2
1.0
-1.9431 1.9431 5.5469
1.9431 -1.9431 5.5469
1.9431 1.9431 -5.5469
Np Cr Ge
1 2 2
Cartesian
0.0000 0.0000 0.0000
1.9431 0.0000 2.7735
0.0000 1.9431 2.7735
0.0000 0.0000 4.2657
0.0000 0.0000 6.8281
```

=====

PrCrGe3: computed X-ray diffraction stick pattern (λ = 1.5418 Å (Cu Kα)), based on a GGA-PBE-relaxed structure.

Largest 10 diffraction maxima, by angle, 10° ≤ 2θ ≤ 90°:
- 2θ 28.88, 3.092 Å, I 21
- 2θ 31.06, 2.879 Å, I 30
- 2θ 35.40, 2.536 Å, I 21
- 2θ 37.03, 2.428 Å, I 100
- 2θ 46.31, 1.961 Å, I 31
- 2θ 47.62, 1.910 Å, I 13
- 2θ 59.23, 1.560 Å, I 25
- 2θ 59.82, 1.546 Å, I 17
- 2θ 68.95, 1.362 Å, I 12
- 2θ 72.47, 1.304 Å, I 13

```
PrCrGe3
1.0
6.1838 0.0000 0.0000
-3.0919 5.3553 0.0000
0.0000 0.0000 5.7578
Pr Cr Ge
2 2 6
Cartesian
0.0000 3.5702 1.4395
3.0919 1.7851 4.3184
0.0000 0.0000 0.0000
0.0000 0.0000 2.8789
0.0000 2.0563 4.3184
-1.3111 4.3272 4.3184
1.7808 1.0282 1.4395
1.3111 4.3272 4.3184
4.4030 1.0282 1.4395
3.0919 3.2990 1.4395
```

=====

CrGeRh: computed X-ray diffraction stick pattern (λ = 1.5418 Å (Cu Kα)), based on a GGA-PBE-relaxed structure.

Largest 10 diffraction maxima, by angle, 10° ≤ 2θ ≤ 90°:
- 2θ 26.54, 3.358 Å, I 40
- 2θ 30.74, 2.908 Å, I 18
- 2θ 44.04, 2.056 Å, I 100
- 2θ 52.16, 1.754 Å, I 19
- 2θ 54.66, 1.679 Å, I 4
- 2θ 64.04, 1.454 Å, I 16
- 2θ 70.59, 1.334 Å, I 8
- 2θ 72.71, 1.301 Å, I 5
- 2θ 80.98, 1.187 Å, I 31
- 2θ 87.06, 1.119 Å, I 6

```
CrGeRh
1.0
0.0000 2.9081 2.9081
2.9081 0.0000 2.9081
2.9081 2.9081 0.0000
Cr Ge Rh
1 1 1
Cartesian
0.0000 0.0000 0.0000
1.4541 1.4541 1.4541
2.9081 2.9081 2.9081
```